Entry 1:
# Sr2CoO3
Theoretical XRD peak list, Cu Kα (λ = 1.5418 Å). Input: a PBE+U-relaxed structure.
Neutral-atom scattering factors, no anomalous dispersion.

Atomic structure:
Cell lengths 7.6616, 7.6490, 3.5784 Å; angles 76.68, 76.29, 27.03 degrees
Fractional positions:
Sr (0.1569, 0.1569, 0.8431)
Sr (0.8431, 0.8431, 0.1569)
Co (0.5000, 0.5000, 0.5000)
O (0.0000, 0.0000, 0.0000)
O (0.3545, 0.3545, 0.6455)
O (0.6455, 0.6455, 0.3545)

Most intense lines, 10 to 90 degrees two-theta, sorted by position:
Position (°2θ)  I_rel
31.1  100.0
35.2  42.8
35.8  40.9
37.3  30.8
51.1  30.8
52.3  21.9
52.7  21.4
60.6  15.8
61.4  15.3
64.9  21.8

---

Entry 2:
# MgV4O10
Theoretical XRD peak list, Cu Kα (λ = 1.5418 Å). Input: a PBE+U-relaxed structure.
Neutral-atom scattering factors, no anomalous dispersion.

Atomic structure:
Cell lengths 5.3923, 3.2352, 12.1388 Å; angles 90.00, 91.08, 90.00 degrees
Fractional positions:
Mg (0.0000, 0.0000, 0.0000)
V (0.9999, 0.0000, 0.2648)
V (0.1609, 0.0000, 0.7209)
V (0.5103, 0.0000, 0.9899)
V (0.6563, 0.0000, 0.5179)
O (0.0286, 0.5000, 0.7539)
O (0.1531, 0.5000, 0.2797)
O (0.2768, 0.0000, 0.8825)
O (0.3117, 0.0000, 0.0976)
O (0.4341, 0.0000, 0.6559)
O (0.5195, 0.5000, 0.4894)
O (0.7304, 0.5000, 0.9698)
O (0.7980, 0.0000, 0.3709)
O (0.8250, 0.0000, 0.1469)
O (0.9292, 0.0000, 0.5892)

Most intense lines, 10 to 90 degrees two-theta, sorted by position:
Position (°2θ)  I_rel
18.1  33.8
21.8  90.7
22.3  100.0
27.6  92.2
29.4  35.7
33.1  20.3
33.2  36.6
44.5  31.6
49.1  20.0
56.9  20.8